No. 1
Starting from the GGA-PBE geometry in Alexandria, the XRD peak list of PmSm7Th3 was calculated for copper Kα.
Intensities are scaled so that the largest is 100.

Main lines, sorted by position (2θ from 10° to 80°):
Position (°2θ)  I (rel.)
28.1  15.6
30.6  100.0
31.2  66.0
33.8  35.8
36.8  49.1
50.8  31.4
53.9  14.2
62.1  18.7

Structural model:
a b c (Å): 7.7882 7.7882 6.3658
angles (deg): 95.07 95.07 81.90
Atoms (fractional coordinates):
Pm 0.0000 0.0000 0.0000
Sm 0.0000 0.0000 0.5000
Sm 0.0772 0.4288 0.7617
Sm 0.2695 0.2695 0.2898
Sm 0.4288 0.0772 0.7617
Sm 0.5712 0.9228 0.2383
Sm 0.7305 0.7305 0.7102
Sm 0.9228 0.5712 0.2383
Th 0.3274 0.6726 0.5000
Th 0.5000 0.5000 0.0000
Th 0.6726 0.3274 0.5000

No. 2
Starting from the GGA-PBE geometry in Alexandria, the XRD peak list of SrHgRu2 was calculated for copper Kα.
Intensities are scaled so that the largest is 100.

Main lines, sorted by position (2θ from 10° to 80°):
Position (°2θ)  I (rel.)
16.3  100.0
25.2  22.0
31.3  30.9
33.0  41.3
37.9  59.9
40.4  26.2
50.4  24.8
51.7  29.7

Structural model:
a b c (Å): 4.7626 4.7626 6.0489
angles (deg): 112.79 112.79 55.95
Atoms (fractional coordinates):
Sr 0.0000 0.0000 0.0000
Hg 0.5000 0.5000 0.5000
Ru 0.1964 0.1964 0.5392
Ru 0.8036 0.8036 0.4608

Question: Number 2 is which compound?
Answer: SrHgRu2